# 1
Starting from a crystal structure in the Materials Project, relaxed with PBE, the powder XRD pattern of CsGdCdTe3 was calculated for a wavelength of 1.5418 Å.
Neutral-atom scattering factors, no anomalous dispersion.

Crystal structure
a = 8.8397 Å, b = 8.8397 Å, c = 11.9736 Å
α = 90.00°, β = 90.00°, γ = 149.72°
Fractional coordinates of all 12 atoms:
Cs1 0.2479 0.7521 0.7500
Cs2 0.7521 0.2479 0.2500
Gd1 0.5000 0.5000 0.0000
Gd2 0.5000 0.5000 0.5000
Cd1 0.0403 0.9597 0.2500
Cd2 0.9597 0.0403 0.7500
Te1 0.1228 0.8772 0.0469
Te2 0.1228 0.8772 0.4531
Te3 0.4366 0.5634 0.2500
Te4 0.5634 0.4366 0.7500
Te5 0.8772 0.1228 0.5469
Te6 0.8772 0.1228 0.9531

Most intense lines, 2θ from 5° to 70°, in order of falling intensity:
2θ/deg  I/Imax
25.94  100.0
10.37  67.3
29.03  56.2
36.00  48.3
29.85  46.8
39.02  40.3
45.55  38.5
24.83  32.8
47.96  24.1
49.88  22.1
24.62  20.8
25.64  20.7


# 2
Starting from a crystal structure in the Materials Project, relaxed with PBE, the powder XRD pattern of ErGa was calculated for a wavelength of 1.5418 Å.
Neutral-atom scattering factors, no anomalous dispersion.

Crystal structure
a = 5.7996 Å, b = 5.7996 Å, c = 4.0505 Å
α = 90.00°, β = 90.00°, γ = 136.68°
Fractional coordinates of all 4 atoms:
Er1 0.1399 0.8601 0.7500
Er2 0.8601 0.1399 0.2500
Ga1 0.4231 0.5769 0.7500
Ga2 0.5769 0.4231 0.2500

Most intense lines, 2θ from 5° to 70°, in order of falling intensity:
2θ/deg  I/Imax
31.52  100.0
39.59  48.5
32.53  41.6
27.55  27.9
33.24  27.0
42.22  24.6
44.75  20.8
56.41  17.5
40.19  16.5
63.21  14.8
64.28  13.6
54.76  13.1


# 3
Starting from a crystal structure in the Materials Project, relaxed with PBE, the powder XRD pattern of TbH3 was calculated for a wavelength of 1.5418 Å.
Neutral-atom scattering factors, no anomalous dispersion.

Crystal structure
a = 6.3764 Å, b = 6.3764 Å, c = 6.6270 Å
α = 90.00°, β = 90.00°, γ = 120.00°
Fractional coordinates of all 24 atoms:
Tb1 0.0000 0.3366 0.2500
Tb2 0.0000 0.6634 0.7500
Tb3 0.3366 0.0000 0.2500
Tb4 0.3366 0.3366 0.7500
Tb5 0.6634 0.0000 0.7500
Tb6 0.6634 0.6634 0.2500
H1 0.0000 0.0000 0.2500
H2 0.0000 0.0000 0.7500
H3 0.0271 0.3489 0.9070
H4 0.0271 0.6782 0.4070
H5 0.3218 0.3489 0.4070
H6 0.3218 0.9729 0.9070
H7 0.3333 0.6667 0.1810
H8 0.3333 0.6667 0.6810
H9 0.3489 0.0271 0.5930
H10 0.3489 0.3218 0.0930
H11 0.6511 0.6782 0.9070
H12 0.6511 0.9729 0.4070
H13 0.6667 0.3333 0.3190
H14 0.6667 0.3333 0.8190
H15 0.6782 0.0271 0.0930
H16 0.6782 0.6511 0.5930
H17 0.9729 0.3218 0.5930
H18 0.9729 0.6511 0.0930

Most intense lines, 2θ from 5° to 70°, in order of falling intensity:
2θ/deg  I/Imax
31.13  100.0
26.91  33.0
50.25  27.6
57.25  24.3
27.99  22.4
49.52  19.4
39.21  17.6
59.66  15.9
63.26  4.4
55.46  4.4
64.91  4.1
57.84  2.9


# 4
Starting from a crystal structure in the Materials Project, relaxed with PBE, the powder XRD pattern of Na2La2MgTi2O8 was calculated for a wavelength of 1.5418 Å.
Neutral-atom scattering factors, no anomalous dispersion.

Crystal structure
a = 3.9402 Å, b = 3.9402 Å, c = 12.2148 Å
α = 90.00°, β = 90.00°, γ = 90.00°
Fractional coordinates of all 15 atoms:
Na1 0.0000 0.5000 0.1360
Na2 0.5000 0.0000 0.8640
La1 0.0000 0.5000 0.3904
La2 0.5000 0.0000 0.6096
Mg1 0.0000 0.0000 0.0000
Ti1 0.0000 0.5000 0.7662
Ti2 0.5000 0.0000 0.2338
O1 0.0000 0.0000 0.2392
O2 0.0000 0.0000 0.7608
O3 0.0000 0.5000 0.5810
O4 0.0000 0.5000 0.9337
O5 0.5000 0.0000 0.0663
O6 0.5000 0.0000 0.4190
O7 0.5000 0.5000 0.2563
O8 0.5000 0.5000 0.7437

Most intense lines, 2θ from 5° to 70°, in order of falling intensity:
2θ/deg  I/Imax
7.24  100.0
31.60  65.4
26.93  64.6
32.13  56.4
46.07  42.0
43.99  30.9
32.97  25.8
56.94  25.3
43.59  20.3
54.17  18.8
49.63  15.2
36.79  13.6


# 5
Starting from a crystal structure in the Materials Project, relaxed with PBE, the powder XRD pattern of SiPb2Se4 was calculated for a wavelength of 1.5418 Å.
Neutral-atom scattering factors, no anomalous dispersion.

Crystal structure
a = 8.8024 Å, b = 7.3865 Å, c = 13.9906 Å
α = 90.00°, β = 108.05°, γ = 90.00°
Fractional coordinates of all 28 atoms:
Si1 0.2036 0.2480 0.1453
Si2 0.2036 0.2520 0.6453
Si3 0.7964 0.7480 0.3547
Si4 0.7964 0.7520 0.8547
Pb1 0.0544 0.1439 0.3744
Pb2 0.0544 0.3561 0.8744
Pb3 0.4440 0.6372 0.1377
Pb4 0.4440 0.8628 0.6377
Pb5 0.5560 0.1372 0.3623
Pb6 0.5560 0.3628 0.8623
Pb7 0.9456 0.6439 0.1256
Pb8 0.9456 0.8561 0.6256
Se1 0.0635 0.7343 0.9439
Se2 0.0635 0.7657 0.4439
Se3 0.2537 0.5176 0.7348
Se4 0.2537 0.9824 0.2348
Se5 0.2699 0.0228 0.7622
Se6 0.2699 0.4772 0.2622
Se7 0.3635 0.2238 0.5426
Se8 0.3635 0.2762 0.0426
Se9 0.6365 0.7238 0.9574
Se10 0.6365 0.7762 0.4574
Se11 0.7301 0.5228 0.7378
Se12 0.7301 0.9772 0.2378
Se13 0.7463 0.0176 0.7652
Se14 0.7463 0.4824 0.2652
Se15 0.9365 0.2343 0.5561
Se16 0.9365 0.2657 0.0561

Most intense lines, 2θ from 5° to 70°, in order of falling intensity:
2θ/deg  I/Imax
13.71  100.0
31.60  97.1
28.65  77.0
28.50  67.3
41.85  62.0
17.95  61.3
31.02  59.1
31.15  56.3
27.08  55.9
27.18  55.3
42.59  54.7
41.01  51.4


# 6
Starting from a crystal structure in the Materials Project, relaxed with PBE, the powder XRD pattern of SmHoTl2 was calculated for a wavelength of 1.5418 Å.
Neutral-atom scattering factors, no anomalous dispersion.

Crystal structure
a = 5.4094 Å, b = 5.4094 Å, c = 5.4094 Å
α = 60.00°, β = 60.00°, γ = 60.00°
Fractional coordinates of all 4 atoms:
Sm1 0.0000 0.0000 0.0000
Ho1 0.5000 0.5000 0.5000
Tl1 0.2500 0.2500 0.2500
Tl2 0.7500 0.7500 0.7500

Most intense lines, 2θ from 5° to 70°, in order of falling intensity:
2θ/deg  I/Imax
33.12  100.0
59.17  38.6
47.54  18.4
69.51  12.0
23.25  1.7
53.57  0.8
40.86  0.6


# 7
Starting from a crystal structure in the Materials Project, relaxed with PBE, the powder XRD pattern of K2SrNb6Cl18 was calculated for a wavelength of 1.5418 Å.
Neutral-atom scattering factors, no anomalous dispersion.

Crystal structure
a = 10.4106 Å, b = 10.4106 Å, c = 10.4106 Å
α = 54.47°, β = 54.47°, γ = 54.47°
Fractional coordinates of all 27 atoms:
K1 0.2217 0.2217 0.2217
K2 0.7783 0.7783 0.7783
Sr1 0.5000 0.5000 0.5000
Nb1 0.0737 0.8542 0.2077
Nb2 0.1458 0.7923 0.9263
Nb3 0.2077 0.0737 0.8542
Nb4 0.7923 0.9263 0.1458
Nb5 0.8542 0.2077 0.0737
Nb6 0.9263 0.1458 0.7923
Cl1 0.0740 0.3305 0.9172
Cl2 0.0828 0.9260 0.6695
Cl3 0.1574 0.2580 0.5847
Cl4 0.1609 0.6724 0.4771
Cl5 0.2580 0.5847 0.1574
Cl6 0.3276 0.5229 0.8391
Cl7 0.3305 0.9172 0.0740
Cl8 0.4153 0.8426 0.7420
Cl9 0.4771 0.1609 0.6724
Cl10 0.5229 0.8391 0.3276
Cl11 0.5847 0.1574 0.2580
Cl12 0.6695 0.0828 0.9260
Cl13 0.6724 0.4771 0.1609
Cl14 0.7420 0.4153 0.8426
Cl15 0.8391 0.3276 0.5229
Cl16 0.8426 0.7420 0.4153
Cl17 0.9172 0.0740 0.3305
Cl18 0.9260 0.6695 0.0828

Most intense lines, 2θ from 5° to 70°, in order of falling intensity:
2θ/deg  I/Imax
12.64  100.0
11.23  78.5
33.33  63.1
39.68  45.0
10.01  40.8
43.12  33.6
37.35  23.8
50.69  23.0
21.18  22.4
34.14  18.4
53.69  17.5
25.88  15.5